Diffraction record for Zn2SiO4. The X-ray diffraction stick pattern is calculated, not measured: it uses a crystal structure in OQMD, relaxed with GGA-PBE and Cu Kα.
Peak positions follow from Bragg's law for the DFT cell and can differ from measured ones.

Structural model:
Cell: 6.1196 10.9135 9.6779 Å, 90.00 90.00 90.00°
Sites, in units of the cell vectors:
Zn 0.0517 0.1594 0.1858
Zn 0.0517 0.3406 0.6858
Zn 0.1537 0.5659 0.9192
Zn 0.1537 0.9341 0.4192
Zn 0.3463 0.0659 0.9192
Zn 0.3463 0.4341 0.4192
Zn 0.4483 0.6594 0.1858
Zn 0.4483 0.8406 0.6858
Zn 0.5517 0.1594 0.3142
Zn 0.5517 0.3406 0.8142
Zn 0.6537 0.5659 0.5808
Zn 0.6537 0.9341 0.0808
Zn 0.8463 0.0659 0.5808
Zn 0.8463 0.4341 0.0808
Zn 0.9483 0.6594 0.3142
Zn 0.9483 0.8406 0.8142
Si 0.1385 0.6248 0.6188
Si 0.1385 0.8752 0.1188
Si 0.3615 0.1248 0.6188
Si 0.3615 0.3752 0.1188
Si 0.6385 0.6248 0.8812
Si 0.6385 0.8752 0.3812
Si 0.8615 0.1248 0.8812
Si 0.8615 0.3752 0.3812
O 0.0757 0.1381 0.9818
O 0.0757 0.3619 0.4818
O 0.0954 0.5132 0.7297
O 0.0954 0.9868 0.2297
O 0.1492 0.0998 0.5198
O 0.1492 0.4002 0.0198
O 0.1733 0.7481 0.7163
O 0.1733 0.7519 0.2163
O 0.3267 0.2481 0.7163
O 0.3267 0.2519 0.2163
O 0.3508 0.5998 0.5198
O 0.3508 0.9002 0.0198
O 0.4046 0.0132 0.7297
O 0.4046 0.4868 0.2297
O 0.4243 0.6381 0.9818
O 0.4243 0.8619 0.4818
O 0.5757 0.1381 0.5182
O 0.5757 0.3619 0.0182
O 0.5954 0.5132 0.7703
O 0.5954 0.9868 0.2703
O 0.6492 0.0998 0.9802
O 0.6492 0.4002 0.4802
O 0.6733 0.7481 0.7837
O 0.6733 0.7519 0.2837
O 0.8267 0.2481 0.7837
O 0.8267 0.2519 0.2837
O 0.8508 0.5998 0.9802
O 0.8508 0.9002 0.4802
O 0.9046 0.0132 0.7703
O 0.9046 0.4868 0.2703
O 0.9243 0.6381 0.5182
O 0.9243 0.8619 0.0182

Largest 8 diffraction maxima, low angle first, 10 to 90 degrees two-theta:
two_theta	intensity	h k l
24.84	41	1 1 2
28.65	40	1 2 2
30.03	59	1 3 1
31.75	100	2 1 1
32.24	89	0 2 3
34.14	66	0 4 1
34.87	44	2 2 1
40.12	58	1 0 4